(1)
Diffraction record for Rb4Hf3S14. The powder XRD pattern is simulated, not measured: it uses a DFT-relaxed cell (PBE, Alexandria) and λ = 1.5418 Å (Cu Kα).
Lines closer than 0.1° are merged.

Atomic structure:
Cell lengths 11.8332, 11.8332, 13.9293 Å; angles 111.48, 111.48, 41.56 degrees
Sites, in units of the cell vectors:
Rb1 0.1185 0.4844 0.3953
Rb2 0.1681 0.6935 0.8580
Rb3 0.3065 0.8319 0.6420
Rb4 0.4844 0.1185 0.8953
Rb5 0.5156 0.8815 0.1047
Rb6 0.6935 0.1681 0.3580
Rb7 0.8319 0.3065 0.1420
Rb8 0.8815 0.5156 0.6047
Hf1 0.0852 0.5780 0.0886
Hf2 0.2668 0.7332 0.2500
Hf3 0.4220 0.9148 0.4114
Hf4 0.5780 0.0852 0.5886
Hf5 0.7332 0.2668 0.7500
Hf6 0.9148 0.4220 0.9114
S1 0.0167 0.8448 0.0861
S2 0.0701 0.4885 0.8998
S3 0.0700 0.7391 0.2930
S4 0.0965 0.1889 0.3896
S5 0.1552 0.9833 0.4139
S6 0.1889 0.0965 0.8896
S7 0.2609 0.9300 0.2070
S8 0.3064 0.6155 0.3940
S9 0.3082 0.3538 0.6686
S10 0.3538 0.3082 0.1686
S11 0.3845 0.6936 0.1060
S12 0.4014 0.4267 0.1331
S13 0.4267 0.4014 0.6331
S14 0.4885 0.0701 0.3998
S15 0.5115 0.9299 0.6002
S16 0.5733 0.5986 0.3669
S17 0.5986 0.5733 0.8669
S18 0.6155 0.3064 0.8940
S19 0.6462 0.6918 0.8314
S20 0.6918 0.6462 0.3314
S21 0.6936 0.3845 0.6060
S22 0.7391 0.0700 0.7930
S23 0.8111 0.9035 0.1104
S24 0.8448 0.0167 0.5861
S25 0.9035 0.8111 0.6104
S26 0.9300 0.2609 0.7070
S27 0.9299 0.5115 0.1002
S28 0.9833 0.1552 0.9139

Main lines, most intense first (2θ from 10° to 90°):
- 2θ = 12.42°, intensity 100
- 2θ = 22.43°, intensity 50
- 2θ = 13.13°, intensity 46
- 2θ = 21.16°, intensity 32
- 2θ = 39.02°, intensity 26
- 2θ = 30.66°, intensity 20
- 2θ = 38.58°, intensity 20
- 2θ = 27.58°, intensity 19
- 2θ = 37.87°, intensity 17
- 2θ = 33.98°, intensity 17

---

(2)
Diffraction record for KLiAl2. The powder XRD pattern is simulated, not measured: it uses a DFT-relaxed cell (PBE, Alexandria) and λ = 1.5418 Å (Cu Kα).
Lines closer than 0.1° are merged.

Atomic structure:
Cell lengths 2.8947, 4.4052, 7.7483 Å; angles 90.00, 90.53, 90.00 degrees
Sites, in units of the cell vectors:
K1 0.0000 0.0000 0.0000
Li1 0.0000 0.0000 0.5000
Al1 0.4968 0.5000 0.6700
Al2 0.5032 0.5000 0.3300

Main lines, most intense first (2θ from 10° to 90°):
- 2θ = 23.23°, intensity 100
- 2θ = 37.17°, intensity 71
- 2θ = 30.73°, intensity 69
- 2θ = 34.73°, intensity 35
- 2θ = 51.56°, intensity 33
- 2θ = 40.98°, intensity 26
- 2θ = 51.99°, intensity 20
- 2θ = 33.14°, intensity 19
- 2θ = 32.93°, intensity 19
- 2θ = 38.66°, intensity 18

---

(3)
Diffraction record for PrNb3O9. The powder XRD pattern is simulated, not measured: it uses a DFT-relaxed cell (PBE, Alexandria) and λ = 1.5418 Å (Cu Kα).
Lines closer than 0.1° are merged.

Atomic structure:
Cell lengths 5.4708, 7.6523, 8.3615 Å; angles 90.00, 91.99, 90.00 degrees
Sites, in units of the cell vectors:
Pr1 0.0336 0.2500 0.4343
Pr2 0.9664 0.7500 0.5657
Nb1 0.0000 0.0000 0.0000
Nb2 0.0000 0.5000 0.0000
Nb3 0.4773 0.0083 0.6999
Nb4 0.4773 0.4917 0.6999
Nb5 0.5227 0.5083 0.3001
Nb6 0.5227 0.9917 0.3001
O1 0.0853 0.2500 0.9838
O2 0.1527 0.5562 0.7868
O3 0.1527 0.9438 0.7868
O4 0.2640 0.5383 0.4648
O5 0.2640 0.9617 0.4648
O6 0.3202 0.5495 0.1211
O7 0.3202 0.9505 0.1211
O8 0.3489 0.2500 0.6599
O9 0.4414 0.2500 0.3114
O10 0.5586 0.7500 0.6886
O11 0.6511 0.7500 0.3401
O12 0.6798 0.0495 0.8789
O13 0.6798 0.4505 0.8789
O14 0.7360 0.0383 0.5352
O15 0.7360 0.4617 0.5352
O16 0.8473 0.0562 0.2132
O17 0.8473 0.4438 0.2132
O18 0.9147 0.7500 0.0162

Main lines, most intense first (2θ from 10° to 90°):
- 2θ = 26.39°, intensity 100
- 2θ = 27.31°, intensity 86
- 2θ = 30.66°, intensity 83
- 2θ = 28.47°, intensity 62
- 2θ = 32.76°, intensity 56
- 2θ = 30.25°, intensity 55
- 2θ = 10.59°, intensity 53
- 2θ = 47.53°, intensity 45
- 2θ = 25.61°, intensity 44
- 2θ = 55.69°, intensity 42

---

(4)
Diffraction record for La4PrDy2Mg. The powder XRD pattern is simulated, not measured: it uses a DFT-relaxed cell (PBE, Alexandria) and λ = 1.5418 Å (Cu Kα).
Lines closer than 0.1° are merged.

Atomic structure:
Cell lengths 9.6252, 9.6252, 9.6252 Å; angles 137.98, 103.27, 91.58 degrees
Sites, in units of the cell vectors:
La1 0.2560 0.2514 0.4954
La2 0.2560 0.7607 0.0046
La3 0.2576 0.2492 0.0084
La4 0.2593 0.7508 0.5084
La5 0.7407 0.2492 0.4916
La6 0.7424 0.7508 0.9916
La7 0.7440 0.2393 0.9954
La8 0.7440 0.7486 0.5046
Pr1 0.0000 0.0000 0.0000
Pr2 0.5000 0.0000 0.5000
Dy1 0.0000 0.0000 0.5000
Dy2 0.0000 0.5000 0.0000
Dy3 0.0000 0.5000 0.5000
Dy4 0.5000 0.5000 0.0000
Mg1 0.5000 0.0000 0.0000
Mg2 0.5000 0.5000 0.5000

Main lines, most intense first (2θ from 10° to 90°):
- 2θ = 29.90°, intensity 100
- 2θ = 40.42°, intensity 88
- 2θ = 26.56°, intensity 45
- 2θ = 60.33°, intensity 27
- 2θ = 63.60°, intensity 23
- 2θ = 53.08°, intensity 21
- 2θ = 62.13°, intensity 12
- 2θ = 68.77°, intensity 12
- 2θ = 79.73°, intensity 12
- 2θ = 87.41°, intensity 9

---

Q: What is the formula in the third record?
A: PrNb3O9

---

Q: Number 3 is which compound?
A: PrNb3O9